1.
# Mg2RuBr2
Computed powder diffraction line list, Cu Kα. Input: a cell relaxed with GGA-PBE.
Lines closer than 0.1° are merged.

Structural model:
abc: 6.9580 6.9580 4.5257
angles: 90.00 90.00 90.00
Sites, in units of the cell vectors:
Mg (0.1733, 0.3267, 0.0000)
Mg (0.3267, 0.8267, 0.0000)
Mg (0.6733, 0.1733, 0.0000)
Mg (0.8267, 0.6733, 0.0000)
Ru (0.0000, 0.0000, 0.5000)
Ru (0.5000, 0.5000, 0.5000)
Br (0.1712, 0.6712, 0.5000)
Br (0.3288, 0.1712, 0.5000)
Br (0.6712, 0.8288, 0.5000)
Br (0.8288, 0.3288, 0.5000)

The 6 most intense peaks (15° ≤ 2θ ≤ 90°), sorted by position:
d_spacing  two_theta  intensity  hkl
4.526  19.62  100  0 0 1
2.564  34.99  98  2 1 1
2.263  39.84  34  0 0 2
2.200  41.02  52  3 1 0
1.979  45.86  44  3 1 1
1.578  58.51  36  3 1 2



2.
# MgS5Br
Computed powder diffraction line list, Cu Kα. Input: a cell relaxed with GGA-PBE.
Lines closer than 0.1° are merged.

Structural model:
abc: 5.0720 23.1049 4.2567
angles: 90.00 110.86 90.00
Sites, in units of the cell vectors:
Mg (0.0000, 0.0000, 0.0000)
Mg (0.5000, 0.5000, 0.0000)
S (0.0000, 0.2329, 0.0000)
S (0.0941, 0.5695, 0.8193)
S (0.1564, 0.2888, 0.7338)
S (0.3436, 0.7888, 0.2662)
S (0.4059, 0.0695, 0.1807)
S (0.5000, 0.7329, 0.0000)
S (0.5941, 0.0695, 0.8193)
S (0.6564, 0.7888, 0.7338)
S (0.8436, 0.2888, 0.2662)
S (0.9059, 0.5695, 0.1807)
Br (0.0000, 0.9394, 0.5000)
Br (0.5000, 0.4394, 0.5000)

The 6 most intense peaks (15° ≤ 2θ ≤ 90°), sorted by position:
d_spacing  two_theta  intensity  hkl
5.776  15.34  27  0 4 0
4.037  22.02  100  1 3 0
3.851  23.10  23  0 6 0
3.761  23.66  20  0 2 1
3.394  26.26  20  1 3 -1
2.926  30.55  24  1 5 -1



3.
# MgSeBr2
Computed powder diffraction line list, Cu Kα. Input: a cell relaxed with GGA-PBE.
Lines closer than 0.1° are merged.

Structural model:
abc: 5.2234 4.1443 5.4367
angles: 90.00 102.39 90.00
Sites, in units of the cell vectors:
Mg (0.0000, 0.0000, 0.0000)
Se (0.1640, 0.5000, 0.2952)
Br (0.4892, 0.0000, 0.9199)
Br (0.8626, 0.5000, 0.5724)

The 6 most intense peaks (15° ≤ 2θ ≤ 90°), sorted by position:
d_spacing  two_theta  intensity  hkl
3.338  26.70  57  1 0 1
3.267  27.30  100  0 1 1
3.217  27.73  49  1 1 0
2.596  34.55  42  1 0 -2
2.520  35.63  36  2 0 -1
1.856  49.09  25  2 1 -2



4.
# MgTiSeBr2
Computed powder diffraction line list, Cu Kα. Input: a cell relaxed with GGA-PBE.
Lines closer than 0.1° are merged.

Structural model:
abc: 5.1767 5.1767 5.0400
angles: 90.00 90.00 90.00
Sites, in units of the cell vectors:
Mg (0.0000, 0.0000, 0.0000)
Ti (0.5000, 0.5000, 0.5000)
Se (0.5000, 0.5000, 0.0000)
Br (0.0000, 0.5000, 0.5000)
Br (0.5000, 0.0000, 0.5000)

The 6 most intense peaks (15° ≤ 2θ ≤ 90°), sorted by position:
d_spacing  two_theta  intensity  hkl
5.177  17.13  43  1 0 0
2.962  30.17  100  1 1 1
2.588  34.66  70  2 0 0
2.520  35.63  32  0 0 2
1.806  50.55  46  2 0 2
1.557  59.36  29  3 1 1